1.
The following is a calculated X-ray diffraction stick pattern of PmCrNi2H8. It was derived from a GGA-PBE-relaxed structure, using Cu Kα X-rays.
No peak broadening, texture or thermal motion is included.

Principal peaks in the range 5 to 70 degrees two-theta, low angle first:
| d/Å | intensity |
| --- | --- |
| 3.809 | 42 |
| 2.807 | 100 |
| 2.486 | 40 |
| 2.263 | 76 |
| 1.762 | 25 |
| 1.729 | 20 |
| 1.403 | 17 |
| 1.390 | 22 |

Crystal structure
```
PmCrNi2H8
1.0
2.2634 1.3068 5.3600
-2.2634 1.3068 5.3600
0.0000 -2.6136 5.3600
Pm Cr Ni H
1 1 2 8
Direct
0.0000 0.0000 0.0000
0.5000 0.5000 0.5000
0.2129 0.2129 0.2129
0.7871 0.7871 0.7871
0.1297 0.7990 0.4120
0.2010 0.5880 0.8703
0.3112 0.3112 0.3112
0.4120 0.1297 0.7990
0.5880 0.8703 0.2010
0.6888 0.6888 0.6888
0.7990 0.4120 0.1297
0.8703 0.2010 0.5880
```



2.
The following is a calculated X-ray diffraction stick pattern of CrNiH2Rh. It was derived from a GGA-PBE-relaxed structure, using Cu Kα X-rays.
No peak broadening, texture or thermal motion is included.

Principal peaks in the range 5 to 70 degrees two-theta, low angle first:
| d/Å | intensity |
| --- | --- |
| 3.387 | 11 |
| 2.339 | 28 |
| 2.315 | 16 |
| 2.196 | 47 |
| 2.079 | 100 |
| 2.050 | 59 |
| 2.021 | 31 |
| 1.588 | 12 |

Crystal structure
```
CrNiH2Rh
1.0
5.0362 -1.3553 0.0000
5.0362 1.3553 0.0000
-1.6359 0.0000 6.0618
Cr Ni H Rh
2 2 4 2
Direct
0.0215 0.0215 0.3139
0.9785 0.9785 0.6861
0.3716 0.3716 0.9724
0.6284 0.6284 0.0276
0.1648 0.1648 0.8790
0.3530 0.3530 0.6938
0.6470 0.6470 0.3062
0.8352 0.8352 0.1210
0.3172 0.3172 0.3625
0.6828 0.6828 0.6375
```



3.
The following is a calculated X-ray diffraction stick pattern of NpCr2H8. It was derived from a GGA-PBE-relaxed structure, using Cu Kα X-rays.
No peak broadening, texture or thermal motion is included.

Principal peaks in the range 5 to 70 degrees two-theta, low angle first:
| d/Å | intensity |
| --- | --- |
| 4.124 | 81 |
| 3.147 | 86 |
| 2.502 | 100 |
| 2.434 | 22 |
| 2.096 | 29 |
| 2.062 | 27 |
| 1.725 | 31 |
| 1.573 | 24 |

Crystal structure
```
NpCr2H8
1.0
4.1243 0.0000 0.0000
0.0000 4.1243 0.0000
0.0000 0.0000 4.8676
Np Cr H
1 2 8
Direct
0.0000 0.0000 0.0000
0.0000 0.5000 0.5000
0.5000 0.0000 0.5000
0.2807 0.2807 0.2984
0.2807 0.2807 0.7016
0.2807 0.7193 0.2984
0.2807 0.7193 0.7016
0.7193 0.2807 0.2984
0.7193 0.2807 0.7016
0.7193 0.7193 0.2984
0.7193 0.7193 0.7016
```